Record 1
Diffraction record for PrAl4Ag8. The PXRD pattern is computed, not measured: it uses a DFT-relaxed cell (GGA-PBE, Alexandria) and Cu Ka.

Atomic structure:
```
PrAl4Ag8
1.0
-4.708 4.708 2.693
4.708 -4.708 2.693
4.708 4.708 -2.693
Pr Al Ag
1 4 8
Direct
0.000 0.000 0.000
0.000 0.000 0.500
0.000 0.500 0.000
0.500 0.000 0.000
0.500 0.500 0.500
0.000 0.345 0.345
0.000 0.655 0.655
0.282 0.500 0.782
0.345 0.000 0.345
0.500 0.282 0.782
0.500 0.718 0.218
0.655 0.000 0.655
0.718 0.500 0.218
```

Principal peaks in the range 10° ≤ 2θ ≤ 90°, in order of rising 2θ:
| Position (°2θ) | d/Å | Rel. int. |
| --- | --- | --- |
| 18.8 | 4.708 | 11 |
| 26.8 | 3.326 | 19 |
| 33.0 | 2.712 | 36 |
| 33.3 | 2.693 | 33 |
| 38.3 | 2.351 | 100 |
| 38.5 | 2.337 | 17 |
| 43.0 | 2.103 | 23 |
| 43.2 | 2.094 | 21 |
| 62.8 | 1.479 | 17 |
| 69.2 | 1.358 | 20 |
| 69.3 | 1.356 | 11 |
| 88.4 | 1.106 | 11 |

Record 2
Diffraction record for Pr4AlAg3. The PXRD pattern is computed, not measured: it uses a DFT-relaxed cell (GGA-PBE, Alexandria) and Cu Ka.

Atomic structure:
```
Pr4AlAg3
1.0
3.808 0.000 0.000
0.000 4.831 0.000
0.000 0.000 11.977
Pr Al Ag
4 1 3
Direct
0.000 0.000 0.000
0.000 0.500 0.297
0.500 0.000 0.500
0.500 0.500 0.802
0.000 0.000 0.721
0.000 0.500 0.582
0.500 0.000 0.222
0.500 0.500 0.078
```

Principal peaks in the range 10° ≤ 2θ ≤ 90°, in order of rising 2θ:
| Position (°2θ) | d/Å | Rel. int. |
| --- | --- | --- |
| 23.7 | 3.760 | 17 |
| 29.8 | 2.994 | 22 |
| 30.8 | 2.901 | 100 |
| 32.5 | 2.755 | 45 |
| 35.3 | 2.545 | 43 |
| 37.2 | 2.415 | 34 |
| 37.6 | 2.393 | 44 |
| 47.8 | 1.904 | 16 |
| 50.2 | 1.816 | 26 |
| 59.2 | 1.561 | 16 |
| 60.8 | 1.524 | 17 |
| 72.0 | 1.311 | 18 |